1.
Calculated PXRD pattern of Na2InSnPb2 for λ = 1.5418 Å (Cu Kα), from a crystal structure in Alexandria, relaxed with GGA-PBE.
No peak broadening, texture or thermal motion is included.

Largest 6 diffraction maxima, low angle first, 2θ = 5–70°:
Position (°2θ)  d_spacing  I_rel
12.8  6.920  60
19.8  4.481  71
27.8  3.212  48
30.0  2.982  100
33.9  2.644  73
36.8  2.442  87

Crystal structure
```
data_Na2InSnPb2
_symmetry_space_group_name_H-M 'C m c m'
_symmetry_Int_Tables_number 63
_symmetry_space_group_name_Hall '-C 2c 2'
_cell_length_a 16.040
_cell_length_b 7.671
_cell_length_c 5.879
_cell_angle_alpha 90.00
_cell_angle_beta 90.00
_cell_angle_gamma 90.00
loop_
_atom_site_label
_atom_site_type_symbol
_atom_site_fract_x
_atom_site_fract_y
_atom_site_fract_z
Na1 Na 0.117 0.180 0.250
In1 In 0.000 0.500 0.000
Sn1 Sn 0.000 0.150 0.750
Pb1 Pb 0.180 0.373 0.750
```

***

2.
Calculated PXRD pattern of Dy2Er2Ag for λ = 1.5418 Å (Cu Kα), from a crystal structure in Alexandria, relaxed with GGA-PBE.
No peak broadening, texture or thermal motion is included.

Largest 6 diffraction maxima, low angle first, 2θ = 5–70°:
Position (°2θ)  d_spacing  I_rel
32.1  2.786  100
36.1  2.491  42
51.9  1.762  15
54.6  1.680  15
62.4  1.489  30
67.2  1.393  11

Crystal structure
```
data_Dy2Er2Ag
_symmetry_space_group_name_H-M 'I 4/m m m'
_symmetry_Int_Tables_number 139
_symmetry_space_group_name_Hall '-I 4 2'
_cell_length_a 3.523
_cell_length_b 3.523
_cell_length_c 22.748
_cell_angle_alpha 90.00
_cell_angle_beta 90.00
_cell_angle_gamma 90.00
loop_
_atom_site_label
_atom_site_type_symbol
_atom_site_fract_x
_atom_site_fract_y
_atom_site_fract_z
Dy1 Dy 0.000 0.000 0.195
Er1 Er 0.000 0.000 0.417
Ag1 Ag 0.000 0.000 0.000
```

***

3.
Calculated PXRD pattern of Al4TlMo for λ = 1.5418 Å (Cu Kα), from a crystal structure in Alexandria, relaxed with GGA-PBE.
No peak broadening, texture or thermal motion is included.

Largest 6 diffraction maxima, low angle first, 2θ = 5–70°:
Position (°2θ)  d_spacing  I_rel
20.7  4.285  69
34.2  2.624  93
40.3  2.238  100
53.8  1.703  18
61.2  1.515  35
65.3  1.428  32

Crystal structure
```
data_Al4TlMo
_symmetry_space_group_name_H-M 'F -4 3 m'
_symmetry_Int_Tables_number 216
_symmetry_space_group_name_Hall 'F -4 2 3'
_cell_length_a 7.422
_cell_length_b 7.422
_cell_length_c 7.422
_cell_angle_alpha 90.00
_cell_angle_beta 90.00
_cell_angle_gamma 90.00
loop_
_atom_site_label
_atom_site_type_symbol
_atom_site_fract_x
_atom_site_fract_y
_atom_site_fract_z
Al1 Al 0.124 0.124 0.124
Tl1 Tl 0.000 0.000 0.500
Mo1 Mo 0.250 0.250 0.750
```

***

4.
Calculated PXRD pattern of BaDy2CuO5 for λ = 1.5418 Å (Cu Kα), from a crystal structure in Alexandria, relaxed with GGA-PBE.
No peak broadening, texture or thermal motion is included.

Largest 6 diffraction maxima, low angle first, 2θ = 5–70°:
Position (°2θ)  d_spacing  I_rel
29.6  3.019  100
30.1  2.965  61
31.4  2.853  46
31.7  2.822  21
45.2  2.006  29
54.7  1.677  18

Crystal structure
```
data_BaDy2CuO5
_symmetry_space_group_name_H-M 'P n m a'
_symmetry_Int_Tables_number 62
_cell_length_a 12.260
_cell_length_b 5.706
_cell_length_c 7.236
_cell_angle_alpha 90.00
_cell_angle_beta 90.00
_cell_angle_gamma 90.00
loop_
_symmetry_equiv_pos_as_xyz
'x,y,z'
'-x,-y,-z'
'-x+1/2,-y,z+1/2'
'x+1/2,y,-z+1/2'
'x+1/2,-y+1/2,-z+1/2'
'-x+1/2,y+1/2,z+1/2'
'-x,y+1/2,-z'
'x,-y+1/2,z'
loop_
_atom_site_label
_atom_site_type_symbol
_atom_site_fract_x
_atom_site_fract_y
_atom_site_fract_z
Ba1 Ba 0.096 0.250 0.068
Dy1 Dy 0.074 0.750 0.396
Dy2 Dy 0.213 0.250 0.612
Cu1 Cu 0.161 0.750 0.781
O1 O 0.068 0.506 0.661
O2 O 0.100 0.750 0.084
O3 O 0.228 0.004 0.355
```

***

5.
Calculated PXRD pattern of Pr3HgSe2 for λ = 1.5418 Å (Cu Kα), from a crystal structure in Alexandria, relaxed with GGA-PBE.
No peak broadening, texture or thermal motion is included.

Largest 6 diffraction maxima, low angle first, 2θ = 5–70°:
Position (°2θ)  d_spacing  I_rel
27.8  3.205  56
29.0  3.081  24
31.7  2.827  100
32.0  2.800  28
35.3  2.543  40
38.8  2.323  24

Crystal structure
```
data_Pr3HgSe2
_symmetry_space_group_name_H-M 'C m c m'
_symmetry_Int_Tables_number 63
_symmetry_space_group_name_Hall '-C 2c 2'
_cell_length_a 5.087
_cell_length_b 13.490
_cell_length_c 10.389
_cell_angle_alpha 90.00
_cell_angle_beta 90.00
_cell_angle_gamma 90.00
loop_
_atom_site_label
_atom_site_type_symbol
_atom_site_fract_x
_atom_site_fract_y
_atom_site_fract_z
Pr1 Pr 0.000 0.118 0.250
Pr2 Pr 0.000 0.368 0.052
Hg1 Hg 0.000 0.223 0.750
Se1 Se 0.000 0.000 0.000
Se2 Se 0.000 0.475 0.750
```

***

6.
Calculated PXRD pattern of CeMgBi3 for λ = 1.5418 Å (Cu Kα), from a crystal structure in Alexandria, relaxed with GGA-PBE.
No peak broadening, texture or thermal motion is included.

Largest 6 diffraction maxima, low angle first, 2θ = 5–70°:
Position (°2θ)  d_spacing  I_rel
27.3  3.271  75
30.2  2.962  51
30.3  2.947  100
32.2  2.776  65
33.5  2.674  45
33.7  2.662  40

Crystal structure
```
data_CeMgBi3
_symmetry_space_group_name_H-M 'P b c m'
_symmetry_Int_Tables_number 57
_cell_length_a 13.881
_cell_length_b 6.510
_cell_length_c 6.552
_cell_angle_alpha 90.00
_cell_angle_beta 90.00
_cell_angle_gamma 90.00
loop_
_symmetry_equiv_pos_as_xyz
'x,y,z'
'-x,-y,-z'
'-x,-y,z+1/2'
'x,y,-z+1/2'
'x,-y+1/2,-z'
'-x,y+1/2,z'
'-x,y+1/2,-z+1/2'
'x,-y+1/2,z+1/2'
loop_
_atom_site_label
_atom_site_type_symbol
_atom_site_fract_x
_atom_site_fract_y
_atom_site_fract_z
Ce1 Ce 0.184 0.001 0.250
Mg1 Mg 0.389 0.750 0.000
Bi1 Bi 0.002 0.750 0.000
Bi2 Bi 0.234 0.000 0.750
Bi3 Bi 0.420 0.166 0.250
```

***

7.
Calculated PXRD pattern of Er2CdHg2 for λ = 1.5418 Å (Cu Kα), from a crystal structure in Alexandria, relaxed with GGA-PBE.
No peak broadening, texture or thermal motion is included.

Largest 6 diffraction maxima, low angle first, 2θ = 5–70°:
Position (°2θ)  d_spacing  I_rel
15.7  5.657  11
33.9  2.647  100
35.5  2.530  37
46.1  1.967  11
59.5  1.553  14
67.4  1.390  17

Crystal structure
```
data_Er2CdHg2
_symmetry_space_group_name_H-M 'P 4/m n c'
_symmetry_Int_Tables_number 128
_symmetry_space_group_name_Hall '-P 4 2n'
_cell_length_a 8.000
_cell_length_b 8.000
_cell_length_c 7.869
_cell_angle_alpha 90.00
_cell_angle_beta 90.00
_cell_angle_gamma 90.00
loop_
_atom_site_label
_atom_site_type_symbol
_atom_site_fract_x
_atom_site_fract_y
_atom_site_fract_z
Er1 Er 0.166 0.332 0.000
Cd1 Cd 0.000 0.000 0.213
Hg1 Hg 0.133 0.633 0.250
```

***

8.
Calculated PXRD pattern of SmInCu10 for λ = 1.5418 Å (Cu Kα), from a crystal structure in Alexandria, relaxed with GGA-PBE.
No peak broadening, texture or thermal motion is included.

Largest 6 diffraction maxima, low angle first, 2θ = 5–70°:
Position (°2θ)  d_spacing  I_rel
29.9  2.984  40
35.9  2.503  28
41.7  2.168  34
42.3  2.138  100
44.0  2.056  29
62.2  1.492  20

Crystal structure
```
data_SmInCu10
_symmetry_space_group_name_H-M 'P m m m'
_symmetry_Int_Tables_number 47
_cell_length_a 4.113
_cell_length_b 4.998
_cell_length_c 8.683
_cell_angle_alpha 90.00
_cell_angle_beta 90.00
_cell_angle_gamma 90.00
loop_
_symmetry_equiv_pos_as_xyz
'x,y,z'
'-x,-y,-z'
'-x,-y,z'
'x,y,-z'
'x,-y,-z'
'-x,y,z'
'-x,y,-z'
'x,-y,z'
loop_
_atom_site_label
_atom_site_type_symbol
_atom_site_fract_x
_atom_site_fract_y
_atom_site_fract_z
Sm1 Sm 0.000 0.000 0.000
In1 In 0.000 0.500 0.500
Cu1 Cu 0.000 0.000 0.343
Cu2 Cu 0.000 0.500 0.179
Cu3 Cu 0.500 0.000 0.500
Cu4 Cu 0.500 0.248 0.250
Cu5 Cu 0.500 0.500 0.000
```